1.
For YTl3Sb2S6, a PBE-relaxed structure gives the computed X-ray powder pattern in this record (Cu Kα, 1.54184 Å).
Neutral-atom scattering factors, no anomalous dispersion.

```
data_YTl3Sb2S6
_cell_length_a 7.025
_cell_length_b 12.169
_cell_length_c 7.791
_cell_angle_alpha 90.00
_cell_angle_beta 107.49
_cell_angle_gamma 90.00
_space_group_name_H-M_alt 'C 1 2/m 1'
_space_group_IT_number 12
loop_
_space_group_symop_operation_xyz
'x,y,z'
'-x,-y,-z'
'-x,y,-z'
'x,-y,z'
'x+1/2,y+1/2,z'
'-x+1/2,-y+1/2,-z'
'-x+1/2,y+1/2,-z'
'x+1/2,-y+1/2,z'
loop_
_atom_site_label
_atom_site_fract_x
_atom_site_fract_y
_atom_site_fract_z
Y1 0.000 0.000 0.000
Tl1 0.000 0.166 0.500
Tl2 0.000 0.500 0.500
Sb1 0.000 0.334 0.000
S1 0.233 0.166 0.201
S2 0.234 0.500 0.200
```

Top 12 peaks for 2θ = 15–90°, most intense first:
2θ/deg	I/Imax	(hkl)
30.07	1000	1 3 1
26.61	577	2 0 0
41.36	381	2 0 2
44.68	341	0 6 0
23.95	271	0 0 2
51.32	221	3 3 1
54.80	180	4 0 0
73.30	151	4 6 0
48.36	151	1 3 3
68.49	150	3 3 3
80.06	112	5 3 1
62.51	112	2 6 2

***

2.
For Tm2Sb2S7, a PBE-relaxed structure gives the computed X-ray powder pattern in this record (Cu Kα, 1.54184 Å).
Neutral-atom scattering factors, no anomalous dispersion.

```
data_Tm2Sb2S7
_cell_length_a 3.933
_cell_length_b 15.100
_cell_length_c 9.040
_cell_angle_alpha 90.00
_cell_angle_beta 90.00
_cell_angle_gamma 90.00
_space_group_name_H-M_alt 'I m m 2'
_space_group_IT_number 44
loop_
_space_group_symop_operation_xyz
'x,y,z'
'-x,-y,z'
'-x,y,z'
'x,-y,z'
'x+1/2,y+1/2,z+1/2'
'-x+1/2,-y+1/2,z+1/2'
'-x+1/2,y+1/2,z+1/2'
'x+1/2,-y+1/2,z+1/2'
loop_
_atom_site_label
_atom_site_fract_x
_atom_site_fract_y
_atom_site_fract_z
Tm1 0.000 0.000 0.000
Tm2 0.000 0.500 0.014
Sb1 0.000 0.233 0.349
S1 0.000 0.122 0.549
S2 0.000 0.187 0.970
S3 0.000 0.430 0.702
S4 0.000 0.500 0.309
```

Top 12 peaks for 2θ = 15–90°, most intense first:
2θ/deg	I/Imax	(hkl)
27.41	1000	1 2 1
22.93	678	0 2 2
44.86	520	1 4 3
37.60	517	1 0 3
23.57	492	0 4 0
34.39	387	1 4 1
43.87	384	1 6 1
19.64	343	0 0 2
41.72	216	0 2 4
46.16	202	2 0 0
41.05	202	0 6 2
52.48	200	2 4 0

***

3.
For V4SbS8, a PBE-relaxed structure gives the computed X-ray powder pattern in this record (Cu Kα, 1.54184 Å).
Neutral-atom scattering factors, no anomalous dispersion.

```
data_V4SbS8
_cell_length_a 9.909
_cell_length_b 9.909
_cell_length_c 9.909
_cell_angle_alpha 90.00
_cell_angle_beta 90.00
_cell_angle_gamma 90.00
_space_group_name_H-M_alt 'F -4 3 m'
_space_group_IT_number 216
_space_group_name_Hall 'F -4 2 3'
loop_
_atom_site_label
_atom_site_fract_x
_atom_site_fract_y
_atom_site_fract_z
V1 0.103 0.103 0.397
Sb1 0.000 0.000 0.000
S1 0.127 0.127 0.627
S2 0.145 0.145 0.145
```

Top 12 peaks for 2θ = 15–90°, most intense first:
2θ/deg	I/Imax	(hkl)
29.91	1000	3 1 1
52.22	742	4 4 0
47.69	734	5 1 1
17.90	535	2 0 0
25.42	504	2 2 0
36.26	408	4 0 0
44.81	366	4 2 2
39.65	294	3 3 1
15.49	216	1 1 1
82.62	212	8 2 2
71.21	211	6 4 2
31.27	196	2 2 2

***

4.
For V2Sb2S7, a PBE-relaxed structure gives the computed X-ray powder pattern in this record (Cu Kα, 1.54184 Å).
Neutral-atom scattering factors, no anomalous dispersion.

```
data_V2Sb2S7
_cell_length_a 3.430
_cell_length_b 13.163
_cell_length_c 11.723
_cell_angle_alpha 90.00
_cell_angle_beta 90.00
_cell_angle_gamma 90.00
_space_group_name_H-M_alt 'I m m 2'
_space_group_IT_number 44
loop_
_space_group_symop_operation_xyz
'x,y,z'
'-x,-y,z'
'-x,y,z'
'x,-y,z'
'x+1/2,y+1/2,z+1/2'
'-x+1/2,-y+1/2,z+1/2'
'-x+1/2,y+1/2,z+1/2'
'x+1/2,-y+1/2,z+1/2'
loop_
_atom_site_label
_atom_site_fract_x
_atom_site_fract_y
_atom_site_fract_z
V1 0.000 0.000 0.000
V2 0.000 0.500 0.245
Sb1 0.000 0.296 0.725
S1 0.000 0.104 0.664
S2 0.000 0.191 0.070
S3 0.000 0.393 0.401
S4 0.000 0.500 0.653
```

Top 12 peaks for 2θ = 15–90°, most intense first:
2θ/deg	I/Imax	(hkl)
15.12	1000	0 0 2
46.14	693	1 5 2
34.80	599	1 0 3
34.93	483	0 5 1
21.63	466	0 3 1
37.47	439	1 2 3
30.36	404	1 2 1
27.09	358	1 0 1
20.29	356	0 2 2
49.06	335	1 2 5
30.96	270	1 1 2
30.64	224	0 3 3

***

5.
For SbWS3, a PBE-relaxed structure gives the computed X-ray powder pattern in this record (Cu Kα, 1.54184 Å).
Neutral-atom scattering factors, no anomalous dispersion.

```
data_SbWS3
_cell_length_a 4.704
_cell_length_b 4.704
_cell_length_c 4.704
_cell_angle_alpha 90.00
_cell_angle_beta 90.00
_cell_angle_gamma 90.00
_space_group_name_H-M_alt 'P m -3 m'
_space_group_IT_number 221
_space_group_name_Hall '-P 4 2 3'
loop_
_atom_site_label
_atom_site_fract_x
_atom_site_fract_y
_atom_site_fract_z
Sb1 0.000 0.000 0.000
W1 0.500 0.500 0.500
S1 0.000 0.500 0.500
```

Top 12 peaks for 2θ = 15–90°, most intense first:
2θ/deg	I/Imax	(hkl)
26.80	1000	1 1 0
47.33	439	2 1 1
38.26	436	2 0 0
55.23	293	2 2 0
75.63	221	3 2 1
62.42	193	3 1 0
18.86	145	1 0 0
88.09	116	4 1 1
69.17	99	2 2 2
42.99	68	2 1 0
81.91	47	4 0 0
58.89	34	3 0 0

***

6.
For Y4SbS3, a PBE-relaxed structure gives the computed X-ray powder pattern in this record (Cu Kα, 1.54184 Å).
Neutral-atom scattering factors, no anomalous dispersion.

```
data_Y4SbS3
_cell_length_a 8.133
_cell_length_b 11.444
_cell_length_c 4.033
_cell_angle_alpha 90.00
_cell_angle_beta 90.00
_cell_angle_gamma 90.00
_space_group_name_H-M_alt 'C m m m'
_space_group_IT_number 65
_space_group_name_Hall '-C 2 2'
loop_
_atom_site_label
_atom_site_fract_x
_atom_site_fract_y
_atom_site_fract_z
Y1 0.000 0.239 0.000
Y2 0.227 0.000 0.500
Sb1 0.000 0.500 0.000
S1 0.000 0.000 0.000
S2 0.250 0.250 0.500
```

Top 12 peaks for 2θ = 15–90°, most intense first:
2θ/deg	I/Imax	(hkl)
31.25	1000	0 4 0
44.78	462	2 4 1
74.07	184	2 8 1
55.77	121	0 4 2
44.95	120	0 0 2
44.56	111	4 0 0
55.44	111	4 4 0
82.78	109	2 4 3
65.18	103	0 8 0
25.84	95	1 1 1
34.18	70	1 3 1
82.25	61	6 4 1

***

What did the fourth record say?
For V2Sb2S7, a PBE-relaxed structure gives the computed X-ray powder pattern in this record (Cu Kα, 1.54184 Å).
Neutral-atom scattering factors, no anomalous dispersion.

```
data_V2Sb2S7
_cell_length_a 3.430
_cell_length_b 13.163
_cell_length_c 11.723
_cell_angle_alpha 90.00
_cell_angle_beta 90.00
_cell_angle_gamma 90.00
_space_group_name_H-M_alt 'I m m 2'
_space_group_IT_number 44
loop_
_space_group_symop_operation_xyz
'x,y,z'
'-x,-y,z'
'-x,y,z'
'x,-y,z'
'x+1/2,y+1/2,z+1/2'
'-x+1/2,-y+1/2,z+1/2'
'-x+1/2,y+1/2,z+1/2'
'x+1/2,-y+1/2,z+1/2'
loop_
_atom_site_label
_atom_site_fract_x
_atom_site_fract_y
_atom_site_fract_z
V1 0.000 0.000 0.000
V2 0.000 0.500 0.245
Sb1 0.000 0.296 0.725
S1 0.000 0.104 0.664
S2 0.000 0.191 0.070
S3 0.000 0.393 0.401
S4 0.000 0.500 0.653
```

Top 12 peaks for 2θ = 15–90°, most intense first:
2θ/deg	I/Imax	(hkl)
15.12	1000	0 0 2
46.14	693	1 5 2
34.80	599	1 0 3
34.93	483	0 5 1
21.63	466	0 3 1
37.47	439	1 2 3
30.36	404	1 2 1
27.09	358	1 0 1
20.29	356	0 2 2
49.06	335	1 2 5
30.96	270	1 1 2
30.64	224	0 3 3

***

- What is the formula in the second record?
  Tm2Sb2S7